No. 1
Starting from a PBE-relaxed structure, the XRD peak list of Y2NiRu was computed for Cu Ka.

The 6 most intense peaks (2θ = 10–80°), in order of rising 2θ:
22.51 deg, I = 3; 37.17 deg, I = 100; 43.90 deg, I = 1; 53.59 deg, I = 17; 67.02 deg, I = 33; 79.21 deg, I = 10

Cell and atoms:
abc: 4.837 4.837 4.837
angles: 60.00 60.00 60.00
Atoms (fractional coordinates):
Y (0.250, 0.250, 0.250)
Y (0.750, 0.750, 0.750)
Ni (0.000, 0.000, 0.000)
Ru (0.500, 0.500, 0.500)



No. 2
Starting from a PBE-relaxed structure, the XRD peak list of Ni3S2 was computed for Cu Ka.

The 6 most intense peaks (2θ = 10–80°), in order of rising 2θ:
28.92 deg, I = 67; 37.06 deg, I = 51; 42.84 deg, I = 47; 45.84 deg, I = 100; 49.67 deg, I = 69; 51.82 deg, I = 53

Cell and atoms:
abc: 5.775 5.775 6.848
angles: 90.00 90.00 147.69
Atoms (fractional coordinates):
Ni (0.038, 0.962, 0.750)
Ni (0.165, 0.835, 0.066)
Ni (0.165, 0.835, 0.434)
Ni (0.835, 0.165, 0.566)
Ni (0.835, 0.165, 0.934)
Ni (0.962, 0.038, 0.250)
S (0.240, 0.760, 0.750)
S (0.500, 0.500, 0.000)
S (0.500, 0.500, 0.500)
S (0.760, 0.240, 0.250)



No. 3
Starting from a PBE-relaxed structure, the XRD peak list of Ni3S2 was computed for Cu Ka.

The 6 most intense peaks (2θ = 10–80°), in order of rising 2θ:
30.99 deg, I = 100; 32.10 deg, I = 58; 36.02 deg, I = 45; 41.57 deg, I = 98; 56.24 deg, I = 46; 56.83 deg, I = 50

Cell and atoms:
abc: 3.522 3.522 5.570
angles: 90.69 90.69 104.71
Atoms (fractional coordinates):
Ni (0.000, 0.000, 0.000)
Ni (0.372, 0.146, 0.617)
Ni (0.854, 0.628, 0.383)
S (0.503, 0.038, 0.240)
S (0.962, 0.497, 0.760)



No. 4
Starting from a PBE-relaxed structure, the XRD peak list of Ni9S8 was computed for Cu Ka.

The 6 most intense peaks (2θ = 10–80°), in order of rising 2θ:
27.58 deg, I = 55; 31.32 deg, I = 55; 31.64 deg, I = 100; 50.98 deg, I = 52; 51.41 deg, I = 65; 55.99 deg, I = 71

Cell and atoms:
abc: 7.235 7.235 9.355
angles: 90.00 90.00 100.76
Atoms (fractional coordinates):
Ni (0.000, 0.000, 0.000)
Ni (0.000, 0.000, 0.285)
Ni (0.000, 0.000, 0.715)
Ni (0.000, 0.500, 0.769)
Ni (0.057, 0.686, 0.377)
Ni (0.222, 0.222, 0.500)
Ni (0.236, 0.764, 0.000)
Ni (0.291, 0.459, 0.125)
Ni (0.314, 0.943, 0.623)
Ni (0.459, 0.291, 0.875)
Ni (0.500, 0.000, 0.231)
Ni (0.500, 0.500, 0.500)
Ni (0.541, 0.709, 0.875)
Ni (0.686, 0.057, 0.623)
Ni (0.709, 0.541, 0.125)
Ni (0.764, 0.236, 0.000)
Ni (0.778, 0.778, 0.500)
Ni (0.943, 0.314, 0.377)
S (0.019, 0.250, 0.139)
S (0.035, 0.730, 0.618)
S (0.250, 0.019, 0.861)
S (0.253, 0.484, 0.364)
S (0.258, 0.501, 0.885)
S (0.270, 0.965, 0.382)
S (0.484, 0.253, 0.636)
S (0.499, 0.742, 0.115)
S (0.501, 0.258, 0.115)
S (0.516, 0.747, 0.636)
S (0.730, 0.035, 0.382)
S (0.742, 0.499, 0.885)
S (0.747, 0.516, 0.364)
S (0.750, 0.981, 0.861)
S (0.965, 0.270, 0.618)
S (0.981, 0.750, 0.139)



No. 5
Starting from a PBE-relaxed structure, the XRD peak list of Ni3S2 was computed for Cu Ka.

The 6 most intense peaks (2θ = 10–80°), in order of rising 2θ:
21.89 deg, I = 53; 31.33 deg, I = 100; 37.97 deg, I = 38; 50.02 deg, I = 67; 50.49 deg, I = 51; 55.55 deg, I = 61

Cell and atoms:
abc: 4.060 4.060 4.060
angles: 89.36 89.36 89.36
Atoms (fractional coordinates):
Ni (0.000, 0.256, 0.744)
Ni (0.256, 0.744, 0.000)
Ni (0.744, 0.000, 0.256)
S (0.245, 0.245, 0.245)
S (0.755, 0.755, 0.755)



No. 6
Starting from a PBE-relaxed structure, the XRD peak list of NiS was computed for Cu Ka.

The 6 most intense peaks (2θ = 10–80°), in order of rising 2θ:
30.01 deg, I = 62; 34.74 deg, I = 29; 46.46 deg, I = 100; 53.28 deg, I = 46; 65.14 deg, I = 10; 73.33 deg, I = 23

Cell and atoms:
abc: 3.439 3.439 5.182
angles: 90.00 90.00 120.00
Atoms (fractional coordinates):
Ni (0.000, 0.000, 0.000)
Ni (0.000, 0.000, 0.500)
S (0.333, 0.667, 0.250)
S (0.667, 0.333, 0.750)



No. 7
Starting from a PBE-relaxed structure, the XRD peak list of Ni3S2 was computed for Cu Ka.

The 6 most intense peaks (2θ = 10–80°), in order of rising 2θ:
12.82 deg, I = 21; 31.64 deg, I = 100; 43.38 deg, I = 23; 46.74 deg, I = 59; 54.03 deg, I = 58; 54.15 deg, I = 36

Cell and atoms:
abc: 7.180 7.180 7.180
angles: 27.35 27.35 27.35
Atoms (fractional coordinates):
Ni (0.000, 0.000, 0.000)
Ni (0.114, 0.114, 0.114)
Ni (0.519, 0.519, 0.519)
S (0.391, 0.391, 0.391)
S (0.896, 0.896, 0.896)



No. 8
Starting from a PBE-relaxed structure, the XRD peak list of Ni6S5 was computed for Cu Ka.

The 6 most intense peaks (2θ = 10–80°), in order of rising 2θ:
21.89 deg, I = 40; 30.55 deg, I = 47; 33.01 deg, I = 100; 48.82 deg, I = 58; 49.52 deg, I = 57; 56.48 deg, I = 33

Cell and atoms:
abc: 6.024 6.024 16.243
angles: 90.00 90.00 148.62
Atoms (fractional coordinates):
Ni (0.002, 0.998, 0.500)
Ni (0.188, 0.812, 0.572)
Ni (0.197, 0.803, 0.994)
Ni (0.340, 0.660, 0.283)
Ni (0.461, 0.539, 0.705)
Ni (0.463, 0.537, 0.856)
Ni (0.537, 0.463, 0.356)
Ni (0.539, 0.461, 0.205)
Ni (0.660, 0.340, 0.783)
Ni (0.803, 0.197, 0.494)
Ni (0.812, 0.188, 0.072)
Ni (0.998, 0.002, 0.000)
S (0.105, 0.895, 0.688)
S (0.110, 0.890, 0.877)
S (0.141, 0.859, 0.279)
S (0.376, 0.624, 0.980)
S (0.380, 0.620, 0.576)
S (0.620, 0.380, 0.076)
S (0.624, 0.376, 0.480)
S (0.859, 0.141, 0.779)
S (0.890, 0.110, 0.377)
S (0.895, 0.105, 0.188)



No. 9
Starting from a PBE-relaxed structure, the XRD peak list of NiS was computed for Cu Ka.

The 6 most intense peaks (2θ = 10–80°), in order of rising 2θ:
18.55 deg, I = 52; 32.43 deg, I = 88; 36.00 deg, I = 55; 40.79 deg, I = 49; 49.22 deg, I = 100; 53.05 deg, I = 47

Cell and atoms:
abc: 5.619 5.619 5.619
angles: 116.64 116.64 116.64
Atoms (fractional coordinates):
Ni (0.176, 0.912, 0.912)
Ni (0.912, 0.176, 0.912)
Ni (0.912, 0.912, 0.176)
S (0.298, 0.635, 0.635)
S (0.635, 0.298, 0.635)
S (0.635, 0.635, 0.298)



No. 10
Starting from a PBE-relaxed structure, the XRD peak list of NiSeS was computed for Cu Ka.

The 6 most intense peaks (2θ = 10–80°), in order of rising 2θ:
30.89 deg, I = 55; 34.65 deg, I = 100; 38.07 deg, I = 66; 44.25 deg, I = 29; 52.42 deg, I = 82; 59.77 deg, I = 36

Cell and atoms:
abc: 5.789 5.789 5.789
angles: 90.00 90.00 90.00
Atoms (fractional coordinates):
Ni (0.010, 0.010, 0.010)
Ni (0.490, 0.990, 0.510)
Ni (0.510, 0.490, 0.990)
Ni (0.990, 0.510, 0.490)
Se (0.118, 0.618, 0.882)
Se (0.382, 0.382, 0.382)
Se (0.618, 0.882, 0.118)
Se (0.882, 0.118, 0.618)
S (0.113, 0.887, 0.387)
S (0.387, 0.113, 0.887)
S (0.613, 0.613, 0.613)
S (0.887, 0.387, 0.113)



No. 11
Starting from a PBE-relaxed structure, the XRD peak list of Ni3Sn2S2 was computed for Cu Ka.

The 6 most intense peaks (2θ = 10–80°), in order of rising 2θ:
32.32 deg, I = 71; 32.96 deg, I = 58; 40.00 deg, I = 97; 41.06 deg, I = 35; 46.84 deg, I = 100; 67.65 deg, I = 35

Cell and atoms:
abc: 5.437 5.437 5.437
angles: 61.25 61.25 61.25
Atoms (fractional coordinates):
Ni (0.000, 0.500, 0.500)
Ni (0.500, 0.000, 0.500)
Ni (0.500, 0.500, 0.000)
Sn (0.000, 0.000, 0.000)
Sn (0.500, 0.500, 0.500)
S (0.221, 0.221, 0.221)
S (0.779, 0.779, 0.779)



What is the formula in the second record? Ni3S2